Diffraction record for Co6Bi4O19. The PXRD pattern is calculated, not measured: it uses the GGA+U geometry in Alexandria and Cu Ka.
Neutral-atom scattering factors, no anomalous dispersion.

Structure:
```
data_Co6Bi4O19
_chemical_formula_sum 'Co12 Bi8 O38'
_symmetry_space_group_name_H-M 'I 2 3'
_symmetry_Int_Tables_number 197
_symmetry_space_group_name_Hall 'I 2 2 3'
_cell_length_a 8.650
_cell_length_b 8.650
_cell_length_c 8.650
_cell_angle_alpha 90.00
_cell_angle_beta 90.00
_cell_angle_gamma 90.00
loop_
_atom_site_label
_atom_site_type_symbol
_atom_site_fract_x
_atom_site_fract_y
_atom_site_fract_z
Co1 Co 0.000 0.342 0.500
Bi1 Bi 0.164 0.164 0.836
O1 O 0.000 0.000 0.000
O2 O 0.000 0.000 0.354
O3 O 0.030 0.329 0.288
```

Largest 6 diffraction maxima, low angle first, 2θ = 10–90°:
| index | 2θ/deg | Rel. int. |
| --- | --- | --- |
| 2 1 1 | 25.22 | 1000 |
| 3 1 0 | 32.74 | 493 |
| 3 3 0 | 44.43 | 609 |
| 5 2 1 | 58.44 | 214 |
| 6 0 0 | 64.65 | 228 |
| 6 3 3 | 81.83 | 235 |